Record 1
Simulated powder diffractogram of U4Si for CuKα, from a DFT-relaxed cell (GGA-PBE, Alexandria).
Kinematic intensities with the Lorentz-polarization factor, no thermal factor.

Principal peaks in the range 2θ from 10° to 90°, in order of rising 2θ:
d (Å)  I/Imax
3.687  28
3.303  7
2.460  100
2.222  20
2.089  38
1.694  7
1.522  28
1.477  9
1.324  15
1.267  11
1.266  10
1.230  10

Structural model:
Lattice parameters (Å, degrees): 9.338 4.443 6.601 90.00 134.91 90.00
Fractional coordinates of all 10 atoms:
U1 0.094 0.000 0.321
U2 0.228 0.500 0.133
U3 0.272 0.000 0.867
U4 0.406 0.500 0.679
U5 0.594 0.500 0.321
U6 0.728 0.000 0.133
U7 0.772 0.500 0.867
U8 0.906 0.000 0.679
Si1 0.000 0.500 0.500
Si2 0.500 0.000 0.500

=====

Record 2
Simulated powder diffractogram of ZrMoBr2 for CuKα, from a DFT-relaxed cell (GGA-PBE, Alexandria).
Kinematic intensities with the Lorentz-polarization factor, no thermal factor.

Principal peaks in the range 2θ from 10° to 90°, in order of rising 2θ:
d (Å)  I/Imax
7.498  100
3.960  20
3.696  23
3.281  14
2.790  16
2.617  56
2.499  24
2.317  38
2.176  16
2.048  39
1.980  12
1.848  14

Structural model:
Lattice parameters (Å, degrees): 15.043 3.362 4.455 90.00 94.50 90.00
Fractional coordinates of all 8 atoms:
Zr1 0.000 0.000 0.000
Zr2 0.500 0.500 0.000
Mo1 0.000 0.500 0.500
Mo2 0.500 0.000 0.500
Br1 0.143 0.500 0.217
Br2 0.357 0.000 0.783
Br3 0.643 0.000 0.217
Br4 0.857 0.500 0.783

=====

Record 3
Simulated powder diffractogram of Zn3Ru for CuKα, from a DFT-relaxed cell (GGA-PBE, Alexandria).
Kinematic intensities with the Lorentz-polarization factor, no thermal factor.

Principal peaks in the range 2θ from 10° to 90°, in order of rising 2θ:
d (Å)  I/Imax
2.480  8
2.324  36
2.146  76
2.141  43
2.043  100
1.575  20
1.400  19
1.315  8
1.237  12
1.216  17
1.172  21
1.121  27

Structural model:
Lattice parameters (Å, degrees): 4.282 5.261 4.960 90.00 90.00 90.00
Fractional coordinates of all 8 atoms:
Zn1 0.250 0.001 0.155
Zn2 0.250 0.499 0.155
Zn3 0.250 0.750 0.657
Zn4 0.750 0.250 0.343
Zn5 0.750 0.501 0.845
Zn6 0.750 0.999 0.845
Ru1 0.250 0.250 0.647
Ru2 0.750 0.750 0.353

=====

Record 4
Simulated powder diffractogram of Li2Mg2Hg3 for CuKα, from a DFT-relaxed cell (GGA-PBE, Alexandria).
Kinematic intensities with the Lorentz-polarization factor, no thermal factor.

Principal peaks in the range 2θ from 10° to 90°, in order of rising 2θ:
d (Å)  I/Imax
7.655  39
4.036  27
3.848  30
3.345  100
3.296  48
2.371  31
2.357  60
2.347  59
2.341  29
1.922  22
1.672  21
1.364  16

Structural model:
Lattice parameters (Å, degrees): 4.697 4.712 8.086 73.80 73.87 60.52
Fractional coordinates of all 7 atoms:
Li1 0.125 0.123 0.128
Li2 0.875 0.877 0.872
Mg1 0.370 0.371 0.383
Mg2 0.630 0.629 0.617
Hg1 0.249 0.247 0.758
Hg2 0.500 0.500 0.000
Hg3 0.751 0.753 0.242